For Ba2BP2O8, a structure optimized by DFT (PBE) gives the calculated powder X-ray diffraction pattern in this record (Cu Kα).

Principal peaks in the range 10 to 90 degrees two-theta, low angle first:
| Position (°2θ) | intensity |
| --- | --- |
| 20.96 | 28 |
| 24.27 | 83 |
| 27.15 | 38 |
| 27.82 | 100 |
| 32.86 | 45 |
| 34.57 | 28 |
| 38.75 | 23 |
| 41.27 | 51 |
| 44.90 | 28 |
| 54.86 | 21 |

Cell and atoms:
```
data_Ba2BP2O8
_chemical_formula_sum 'Ba8 B4 P8 O32'
_cell_length_a 7.3493
_cell_length_b 7.3493
_cell_length_c 14.6519
_cell_angle_alpha 90.00
_cell_angle_beta 90.00
_cell_angle_gamma 90.00
_space_group_name_H-M_alt 'I -4 2 d'
_space_group_IT_number 122
_space_group_name_Hall 'I -4 2bw'
loop_
_atom_site_label
_atom_site_type_symbol
_atom_site_fract_x
_atom_site_fract_y
_atom_site_fract_z
Ba1 Ba 0.1224 0.2500 0.1250
B1 B 0.0000 0.0000 0.5000
P1 P 0.1504 0.7500 0.6250
O1 O 0.0063 0.6645 0.6933
O2 O 0.1096 0.2328 0.9251
```